No. 1
Structure and theoretical powder diffractogram of Pr4AgRu2 (a structure optimized by DFT (PBE); Cu Kα X-rays).
Intensities are scaled so that the largest is 100.

Atomic structure:
```
data_Pr4AgRu2
_symmetry_space_group_name_H-M 'P 1'
_symmetry_Int_Tables_number 1
_symmetry_space_group_name_Hall 'P 1'
_cell_length_a 7.842
_cell_length_b 7.843
_cell_length_c 7.844
_cell_angle_alpha 108.75
_cell_angle_beta 110.80
_cell_angle_gamma 108.84
loop_
_atom_site_label
_atom_site_fract_x
_atom_site_fract_y
_atom_site_fract_z
_atom_site_occupancy
Pr1 0.000 0.000 0.000 1
Pr2 0.003 0.009 0.508 1
Pr3 0.104 0.643 0.239 1
Pr4 0.371 0.503 0.642 1
Pr5 0.462 0.876 0.103 1
Pr6 0.465 0.377 0.106 1
Pr7 0.602 0.149 0.749 1
Pr8 0.871 0.508 0.642 1
Ag1 0.607 0.763 0.499 1
Ag2 0.865 0.257 0.250 1
Ru1 0.090 0.362 0.873 1
Ru2 0.233 0.857 0.725 1
Ru3 0.354 0.126 0.373 1
Ru4 0.733 0.650 0.018 1
```

Main lines, by angle (5° ≤ 2θ ≤ 70°):
(hkl)	2θ (°)	d/Å	Rel. int.
2 -2 0	27.99	3.188	24.2
-2 2 1	30.99	2.885	100.0
1 2 -2	31.06	2.879	36.4
2 -1 1	31.69	2.824	62.3
0 3 -1	36.90	2.436	46.6
0 1 2	37.10	2.423	43.6
3 -1 0	37.45	2.402	19.2
1 2 -4	47.17	1.927	16.7
-4 1 3	51.03	1.790	18.8
3 -4 1	51.85	1.763	21.5

No. 2
Structure and theoretical powder diffractogram of NdMn9Ge4 (a structure optimized by DFT (PBE); Cu Kα X-rays).
Intensities are scaled so that the largest is 100.

Atomic structure:
```
data_NdMn9Ge4
_symmetry_space_group_name_H-M 'I 4/m c m'
_symmetry_Int_Tables_number 140
_symmetry_space_group_name_Hall '-I 4 2c'
_cell_length_a 8.036
_cell_length_b 8.036
_cell_length_c 11.887
_cell_angle_alpha 90.00
_cell_angle_beta 90.00
_cell_angle_gamma 90.00
loop_
_atom_site_label
_atom_site_fract_x
_atom_site_fract_y
_atom_site_fract_z
_atom_site_occupancy
Nd1 0.000 0.000 0.250 1
Mn1 0.000 0.500 0.000 1
Mn2 0.055 0.189 0.000 1
Mn3 0.114 0.386 0.173 1
Ge1 0.181 0.319 0.374 1
```

Main lines, by angle (5° ≤ 2θ ≤ 70°):
(hkl)	2θ (°)	d/Å	Rel. int.
2 2 0	31.49	2.841	16.8
1 1 4	34.05	2.633	46.5
2 2 2	35.00	2.563	28.4
3 1 0	35.32	2.541	30.9
2 0 4	37.65	2.389	75.2
3 1 2	38.53	2.337	100.0
0 0 6	45.77	1.983	52.8
3 2 3	46.76	1.943	53.6
4 1 1	47.26	1.923	61.3
4 0 4	55.19	1.664	19.6

No. 3
Structure and theoretical powder diffractogram of ThNb4O12 (a structure optimized by DFT (PBE); Cu Kα X-rays).
Intensities are scaled so that the largest is 100.

Atomic structure:
```
data_ThNb4O12
_symmetry_space_group_name_H-M 'I 4'
_symmetry_Int_Tables_number 79
_symmetry_space_group_name_Hall 'I 4'
_cell_length_a 7.969
_cell_length_b 7.969
_cell_length_c 7.847
_cell_angle_alpha 90.00
_cell_angle_beta 90.00
_cell_angle_gamma 90.00
loop_
_atom_site_label
_atom_site_fract_x
_atom_site_fract_y
_atom_site_fract_z
_atom_site_occupancy
Th1 0.000 0.000 0.000 1
Nb1 0.230 0.736 0.263 1
O1 0.003 0.239 0.194 1
O2 0.003 0.760 0.795 1
O3 0.218 0.778 0.495 1
```

Main lines, by angle (5° ≤ 2θ ≤ 70°):
(hkl)	2θ (°)	d/Å	Rel. int.
1 1 0	15.73	5.635	49.9
1 0 1	15.85	5.591	100.0
1 2 1	27.49	3.245	53.3
1 1 2	27.71	3.220	24.4
2 2 0	31.76	2.818	46.2
2 0 2	32.01	2.796	97.8
3 0 1	35.66	2.518	32.5
2 1 3	42.89	2.109	26.2
4 0 0	45.53	1.992	34.9
4 2 2	56.74	1.622	37.1

No. 4
Structure and theoretical powder diffractogram of Ba3Hg6SbPb2 (a structure optimized by DFT (PBE); Cu Kα X-rays).
Intensities are scaled so that the largest is 100.

Atomic structure:
```
data_Ba3Hg6SbPb2
_symmetry_space_group_name_H-M 'P -3 m 1'
_symmetry_Int_Tables_number 164
_symmetry_space_group_name_Hall '-P 3 2"'
_cell_length_a 6.1717
_cell_length_b 6.1717
_cell_length_c 11.8054
_cell_angle_alpha 90.00
_cell_angle_beta 90.00
_cell_angle_gamma 120.00
loop_
_atom_site_label
_atom_site_fract_x
_atom_site_fract_y
_atom_site_fract_z
_atom_site_occupancy
Ba1 0.0000 0.0000 0.0000 1
Ba2 0.3333 0.6667 0.5913 1
Hg1 0.1706 0.3411 0.2525 1
Sb1 0.0000 0.0000 0.5000 1
Pb1 0.3333 0.6667 0.9128 1
```

Main lines, by angle (5° ≤ 2θ ≤ 70°):
(hkl)	2θ (°)	d/Å	Rel. int.
0 0 2	15.01	5.903	27.0
1 0 3	28.16	3.169	82.3
1 1 2	32.75	2.735	56.1
2 0 1	34.41	2.606	100.0
1 0 4	34.72	2.584	21.4
0 2 2	36.92	2.435	22.9
2 1 3	50.80	1.797	29.0
0 2 5	51.66	1.769	27.3
2 2 0	59.95	1.543	25.3
2 0 7	65.44	1.426	18.0

No. 5
Structure and theoretical powder diffractogram of Sr4La2MgRu2O12 (a structure optimized by DFT (PBE); Cu Kα X-rays).
Intensities are scaled so that the largest is 100.

Atomic structure:
```
data_Sr4La2MgRu2O12
_symmetry_space_group_name_H-M 'I 4/m m m'
_symmetry_Int_Tables_number 139
_symmetry_space_group_name_Hall '-I 4 2'
_cell_length_a 3.896
_cell_length_b 3.896
_cell_length_c 38.433
_cell_angle_alpha 90.00
_cell_angle_beta 90.00
_cell_angle_gamma 90.00
loop_
_atom_site_label
_atom_site_fract_x
_atom_site_fract_y
_atom_site_fract_z
_atom_site_occupancy
Sr1 0.000 0.000 0.117 1
Sr2 0.000 0.000 0.216 1
La1 0.000 0.000 0.455 1
Mg1 0.000 0.000 0.000 1
Ru1 0.000 0.000 0.334 1
O1 0.000 0.000 0.057 1
O2 0.000 0.000 0.279 1
O3 0.000 0.000 0.390 1
O4 0.000 0.500 0.000 1
O5 0.000 0.500 0.166 1
```

Main lines, by angle (5° ≤ 2θ ≤ 70°):
(hkl)	2θ (°)	d/Å	Rel. int.
1 0 1	22.94	3.876	13.6
1 0 9	31.07	2.878	100.0
1 1 0	32.50	2.755	69.1
1 0 15	42.22	2.141	16.3
0 0 18	42.33	2.135	14.1
1 1 12	43.32	2.088	18.6
2 0 0	46.63	1.948	38.6
1 1 18	54.36	1.688	15.5
2 1 9	57.10	1.613	36.9
2 0 18	64.75	1.440	22.9

No. 6
Structure and theoretical powder diffractogram of Pb6I5Br7 (a structure optimized by DFT (PBE); Cu Kα X-rays).
Intensities are scaled so that the largest is 100.

Atomic structure:
```
data_Pb6I5Br7
_symmetry_space_group_name_H-M 'A m m 2'
_symmetry_Int_Tables_number 38
_symmetry_space_group_name_Hall 'A 2 -2'
_cell_length_a 14.086
_cell_length_b 10.079
_cell_length_c 10.821
_cell_angle_alpha 90.00
_cell_angle_beta 90.00
_cell_angle_gamma 90.00
loop_
_atom_site_label
_atom_site_fract_x
_atom_site_fract_y
_atom_site_fract_z
_atom_site_occupancy
Pb1 0.000 0.000 0.000 1
Pb2 0.160 0.000 0.520 1
Pb3 0.333 0.000 0.019 1
Pb4 0.500 0.000 0.518 1
I1 0.000 0.000 0.306 1
I2 0.329 0.000 0.319 1
I3 0.332 0.000 0.721 1
Br1 0.000 0.000 0.715 1
Br2 0.165 0.196 0.013 1
Br3 0.500 0.195 0.020 1
```

Main lines, by angle (5° ≤ 2θ ≤ 70°):
(hkl)	2θ (°)	d/Å	Rel. int.
0 0 2	16.38	5.410	61.3
0 2 0	17.60	5.040	100.0
3 1 1	22.45	3.961	66.3
3 0 2	25.11	3.546	43.4
3 2 0	25.94	3.435	41.1
3 1 3	32.54	2.752	96.5
0 0 4	33.11	2.705	34.4
3 3 1	33.84	2.649	70.1
6 0 0	38.34	2.348	35.2
3 3 3	41.46	2.178	92.7

No. 7
Structure and theoretical powder diffractogram of Cr2Pd2Pt (a structure optimized by DFT (PBE); Cu Kα X-rays).
Intensities are scaled so that the largest is 100.

Atomic structure:
```
data_Cr2Pd2Pt
_symmetry_space_group_name_H-M 'P 4/m b m'
_symmetry_Int_Tables_number 127
_symmetry_space_group_name_Hall '-P 4 2ab'
_cell_length_a 7.197
_cell_length_b 7.197
_cell_length_c 2.805
_cell_angle_alpha 90.00
_cell_angle_beta 90.00
_cell_angle_gamma 90.00
loop_
_atom_site_label
_atom_site_fract_x
_atom_site_fract_y
_atom_site_fract_z
_atom_site_occupancy
Cr1 0.094 0.406 0.000 1
Pd1 0.197 0.697 0.500 1
Pt1 0.000 0.000 0.000 1
```

Main lines, by angle (5° ≤ 2θ ≤ 70°):
(hkl)	2θ (°)	d/Å	Rel. int.
1 1 0	17.43	5.089	20.5
2 2 0	35.27	2.545	53.5
1 1 1	36.58	2.456	16.7
3 1 0	39.60	2.276	49.1
2 0 1	40.79	2.212	100.0
2 1 1	42.77	2.114	35.6
3 2 0	45.44	1.996	12.6
3 1 1	51.73	1.767	14.1
4 1 0	52.42	1.746	16.9
3 3 1	64.16	1.451	19.1

No. 8
Structure and theoretical powder diffractogram of Tb3Pr2ErTe6 (a structure optimized by DFT (PBE); Cu Kα X-rays).
Intensities are scaled so that the largest is 100.

Atomic structure:
```
data_Tb3Pr2ErTe6
_symmetry_space_group_name_H-M 'C 1 2/m 1'
_symmetry_Int_Tables_number 12
_symmetry_space_group_name_Hall '-C 2y'
_cell_length_a 19.279
_cell_length_b 4.379
_cell_length_c 8.895
_cell_angle_alpha 90.00
_cell_angle_beta 102.86
_cell_angle_gamma 90.00
loop_
_atom_site_label
_atom_site_fract_x
_atom_site_fract_y
_atom_site_fract_z
_atom_site_occupancy
Tb1 0.000 0.000 0.000 1
Tb2 0.175 0.500 0.336 1
Pr1 0.171 0.500 0.837 1
Er1 0.000 0.000 0.500 1
Te1 0.004 0.500 0.256 1
Te2 0.161 0.000 0.090 1
Te3 0.161 0.000 0.572 1
```

Main lines, by angle (5° ≤ 2θ ≤ 70°):
(hkl)	2θ (°)	d/Å	Rel. int.
6 0 0	28.49	3.132	48.9
1 1 -2	28.61	3.121	100.0
2 0 -4	40.57	2.224	19.3
5 1 2	40.69	2.217	37.2
7 1 -2	40.94	2.204	36.6
0 2 0	41.23	2.190	18.7
4 0 4	50.11	1.820	10.0
6 2 0	50.88	1.795	19.6
2 2 -4	59.22	1.560	12.6
3 1 -6	66.63	1.404	16.4

No. 9
Structure and theoretical powder diffractogram of Dy7SbSe5 (a structure optimized by DFT (PBE); Cu Kα X-rays).
Intensities are scaled so that the largest is 100.

Atomic structure:
```
data_Dy7SbSe5
_symmetry_space_group_name_H-M 'C 1 2/m 1'
_symmetry_Int_Tables_number 12
_symmetry_space_group_name_Hall '-C 2y'
_cell_length_a 13.351
_cell_length_b 4.067
_cell_length_c 24.245
_cell_angle_alpha 90.00
_cell_angle_beta 90.06
_cell_angle_gamma 90.00
loop_
_atom_site_label
_atom_site_fract_x
_atom_site_fract_y
_atom_site_fract_z
_atom_site_occupancy
Dy1 0.019 0.000 0.250 1
Dy2 0.095 0.500 0.118 1
Dy3 0.095 0.500 0.382 1
Dy4 0.139 0.000 0.537 1
Dy5 0.139 0.000 0.963 1
Dy6 0.187 0.500 0.678 1
Dy7 0.187 0.500 0.822 1
Sb1 0.190 0.500 0.250 1
Se1 0.000 0.500 0.000 1
Se2 0.000 0.500 0.500 1
Se3 0.049 0.000 0.859 1
Se4 0.050 0.000 0.641 1
Se5 0.223 0.000 0.071 1
Se6 0.223 0.000 0.428 1
```

Main lines, by angle (5° ≤ 2θ ≤ 70°):
(hkl)	2θ (°)	d/Å	Rel. int.
2 0 7	29.04	3.074	70.5
3 1 1	29.99	2.980	25.4
3 1 2	30.68	2.914	100.0
3 1 -3	31.80	2.814	51.8
2 0 8	32.44	2.760	30.1
1 1 -9	40.74	2.215	35.4
0 2 0	44.56	2.034	34.8
5 1 5	44.69	2.028	28.7
6 0 5	44.81	2.022	21.5
2 2 7	54.07	1.696	25.1

No. 10
Structure and theoretical powder diffractogram of LaPr2Zn2Si2 (a structure optimized by DFT (PBE); Cu Kα X-rays).
Intensities are scaled so that the largest is 100.

Atomic structure:
```
data_LaPr2Zn2Si2
_symmetry_space_group_name_H-M 'R -3 m'
_symmetry_Int_Tables_number 166
_symmetry_space_group_name_Hall '-R 3 2"'
_cell_length_a 4.1642
_cell_length_b 4.1642
_cell_length_c 35.5381
_cell_angle_alpha 90.00
_cell_angle_beta 90.00
_cell_angle_gamma 120.00
loop_
_atom_site_label
_atom_site_fract_x
_atom_site_fract_y
_atom_site_fract_z
_atom_site_occupancy
La1 0.0000 0.0000 0.0000 1
Pr1 0.0000 0.0000 0.1217 1
Zn1 0.0000 0.0000 0.3962 1
Si1 0.0000 0.0000 0.2713 1
```

Main lines, by angle (5° ≤ 2θ ≤ 70°):
(hkl)	2θ (°)	d/Å	Rel. int.
1 0 1	24.82	3.588	34.8
1 0 4	26.68	3.342	28.9
1 0 7	30.40	2.940	60.6
0 1 8	31.97	2.800	100.0
1 0 10	35.46	2.531	29.5
0 0 15	37.98	2.369	16.2
1 1 0	43.46	2.082	62.2
2 0 8	54.96	1.671	21.2
1 1 15	59.07	1.564	26.1
1 1 18	65.11	1.433	13.6

No. 11
Structure and theoretical powder diffractogram of TbPm2SmY5 (a structure optimized by DFT (PBE); Cu Kα X-rays).
Intensities are scaled so that the largest is 100.

Atomic structure:
```
data_TbPm2SmY5
_symmetry_space_group_name_H-M 'I 4/m c m'
_symmetry_Int_Tables_number 140
_symmetry_space_group_name_Hall '-I 4 2c'
_cell_length_a 8.675
_cell_length_b 8.675
_cell_length_c 15.710
_cell_angle_alpha 90.00
_cell_angle_beta 90.00
_cell_angle_gamma 90.00
loop_
_atom_site_label
_atom_site_fract_x
_atom_site_fract_y
_atom_site_fract_z
_atom_site_occupancy
Tb1 0.000 0.000 0.250 1
Pm1 0.118 0.382 0.000 1
Sm1 0.000 0.500 0.250 1
Y1 0.000 0.000 0.000 1
Y2 0.208 0.292 0.362 1
```

Main lines, by angle (5° ≤ 2θ ≤ 70°):
(hkl)	2θ (°)	d/Å	Rel. int.
2 1 3	28.64	3.117	55.6
2 2 0	29.12	3.067	49.8
2 0 4	30.71	2.911	100.0
3 1 0	32.64	2.743	14.2
2 1 5	36.81	2.442	16.0
3 2 1	37.83	2.378	21.8
4 0 2	43.28	2.090	21.4
0 0 8	46.23	1.964	14.7
4 2 4	52.63	1.739	22.4
4 4 0	60.33	1.534	14.2